1.
Computed powder diffraction line list of Gd2HoFe2B2N3 for copper Kα, from DFT lattice parameters and positions (PBE).

Peak list (10 most intense, 10 to 90 degrees two-theta, by intensity)
d 3.089, I 100, hkl 1 0 3; d 2.641, I 90, hkl 1 0 5; d 2.548, I 53, hkl 0 0 8; d 2.452, I 43, hkl 1 1 0; d 2.384, I 42, hkl 1 1 2; d 1.734, I 36, hkl 2 0 0; d 1.433, I 34, hkl 2 0 8; d 1.449, I 30, hkl 2 1 5; d 2.209, I 29, hkl 1 1 4; d 1.767, I 27, hkl 1 1 8

Crystal structure
Cell: 3.467 3.467 20.384 Å, 90.00 90.00 90.00°
Space group I4/mmm (No. 139)
Asymmetric unit:
1 Gd 0.000 0.000 0.122
2 Ho 0.000 0.000 0.500
3 Fe 0.000 0.500 0.250
4 B 0.000 0.000 0.313
5 N 0.000 0.000 0.000
6 N 0.000 0.000 0.385

---

2.
Computed powder diffraction line list of Nd2GdFe2B2N3 for copper Kα, from DFT lattice parameters and positions (PBE).

Peak list (10 most intense, 10 to 90 degrees two-theta, by intensity)
d 3.160, I 100, hkl 1 0 3; d 2.693, I 82, hkl 1 0 5; d 2.573, I 52, hkl 0 0 8; d 2.445, I 42, hkl 1 1 2; d 2.518, I 42, hkl 1 1 0; d 1.780, I 37, hkl 2 0 0; d 1.464, I 35, hkl 2 0 8; d 2.261, I 29, hkl 1 1 4; d 1.485, I 28, hkl 2 1 5; d 1.551, I 27, hkl 2 1 3

Crystal structure
Cell: 3.560 3.560 20.587 Å, 90.00 90.00 90.00°
Space group I4/mmm (No. 139)
Asymmetric unit:
1 Nd 0.000 0.000 0.124
2 Gd 0.000 0.000 0.500
3 Fe 0.000 0.500 0.250
4 B 0.000 0.000 0.311
5 N 0.000 0.000 0.000
6 N 0.000 0.000 0.383

---

3.
Computed powder diffraction line list of Gd2TmFe2B2N3 for copper Kα, from DFT lattice parameters and positions (PBE).

Peak list (10 most intense, 10 to 90 degrees two-theta, by intensity)
d 3.079, I 100, hkl 1 0 3; d 2.633, I 91, hkl 1 0 5; d 2.538, I 52, hkl 0 0 8; d 2.445, I 43, hkl 1 1 0; d 2.377, I 43, hkl 1 1 2; d 1.729, I 36, hkl 2 0 0; d 1.429, I 34, hkl 2 0 8; d 1.445, I 30, hkl 2 1 5; d 2.203, I 27, hkl 1 1 4; d 1.761, I 27, hkl 1 1 8

Crystal structure
Cell: 3.458 3.458 20.306 Å, 90.00 90.00 90.00°
Space group I4/mmm (No. 139)
Asymmetric unit:
1 Gd 0.000 0.000 0.122
2 Tm 0.000 0.000 0.500
3 Fe 0.000 0.500 0.250
4 B 0.000 0.000 0.313
5 N 0.000 0.000 0.000
6 N 0.000 0.000 0.386